Record 1
# V3BO6
Calculated PXRD pattern, copper Kα. Input: DFT lattice parameters and positions (PBE+U).

Largest 10 diffraction maxima, low angle first, 10° ≤ 2θ ≤ 80°:
d = 3.725 Å, rel. 44, hkl 1 1 1; d = 2.994 Å, rel. 100, hkl 1 2 1; d = 2.730 Å, rel. 17, hkl 3 0 1; d = 2.605 Å, rel. 55, hkl 3 1 1; d = 2.532 Å, rel. 34, hkl 2 3 0; d = 2.314 Å, rel. 22, hkl 3 2 1; d = 2.206 Å, rel. 23, hkl 2 3 1; d = 1.694 Å, rel. 28, hkl 4 0 2; d = 1.680 Å, rel. 59, hkl 2 3 2; d = 1.479 Å, rel. 20, hkl 6 3 0

Structural model:
Lattice parameters (Å, degrees): 10.3126 8.7183 4.4934 90.00 90.00 90.00
Space group Pnma (No. 62)
Inequivalent atoms, fractional coordinates:
V 0.0940 0.2500 0.0321
V 0.1289 0.5702 0.5208
B 0.2193 0.7500 0.0910
O 0.0314 0.0820 0.2653
O 0.0856 0.7500 0.2272
O 0.2146 0.1116 0.7318
O 0.2218 0.7500 0.7693

=====

Record 2
# MgFe2Sb4O12
Calculated PXRD pattern, copper Kα. Input: DFT lattice parameters and positions (PBE+U).

Largest 10 diffraction maxima, low angle first, 10° ≤ 2θ ≤ 80°:
d = 4.435 Å, rel. 21, hkl 1 0 1; d = 3.508 Å, rel. 100, hkl 1 1 0; d = 2.747 Å, rel. 68, hkl 1 0 3; d = 2.481 Å, rel. 24, hkl 2 0 0; d = 2.403 Å, rel. 15, hkl 1 1 3; d = 1.841 Å, rel. 61, hkl 2 1 3; d = 1.754 Å, rel. 21, hkl 2 2 0; d = 1.569 Å, rel. 14, hkl 1 3 0; d = 1.478 Å, rel. 19, hkl 3 0 3; d = 1.270 Å, rel. 10, hkl 3 2 3

Structural model:
Lattice parameters (Å, degrees): 4.9618 4.9618 9.8945 90.00 90.00 90.00
Space group P-4 (No. 81)
Inequivalent atoms, fractional coordinates:
Mg 0.0000 0.0000 0.0000
Fe 0.0000 0.5000 0.7473
Sb 0.0000 0.5000 0.1145
Sb 0.0000 0.5000 0.4313
O 0.1883 0.6875 0.2714
O 0.1915 0.7093 0.9134
O 0.1999 0.7001 0.5758